No. 1
Diffraction record for BaH5ClO3. The X-ray diffraction stick pattern is calculated, not measured: it uses a crystal structure in Alexandria, relaxed with PBE and λ = 1.5418 Å (Cu Kα).

Top 12 peaks for 10° ≤ 2θ ≤ 90°, low angle first:
2θ/deg, d_spacing, I/Imax
14.65, 6.047, 286
20.76, 4.278, 603
24.40, 3.648, 469
27.58, 3.234, 469
28.57, 3.124, 303
29.54, 3.024, 242
35.59, 2.522, 1000
39.40, 2.287, 376
42.26, 2.138, 238
46.90, 1.937, 244
54.14, 1.694, 234
56.96, 1.617, 252

Crystal structure
Unit cell a=4.5735 b=4.5735 c=12.0941 alpha=90.00 beta=90.00 gamma=90.00
Fractional coordinates of all 20 atoms:
Ba1 0.2500 0.2500 0.1742
Ba2 0.7500 0.7500 0.8258
H1 0.0702 0.7500 0.3581
H2 0.2500 0.2500 0.5055
H3 0.2500 0.5702 0.6419
H4 0.2500 0.9298 0.6419
H5 0.4298 0.7500 0.3581
H6 0.5702 0.2500 0.6419
H7 0.7500 0.0702 0.3581
H8 0.7500 0.4298 0.3581
H9 0.7500 0.7500 0.4945
H10 0.9298 0.2500 0.6419
Cl1 0.2500 0.2500 0.9095
Cl2 0.7500 0.7500 0.0905
O1 0.2500 0.2500 0.5858
O2 0.2500 0.7500 0.3086
O3 0.2500 0.7500 0.6914
O4 0.7500 0.2500 0.3086
O5 0.7500 0.2500 0.6914
O6 0.7500 0.7500 0.4142

=====

No. 2
Diffraction record for La3Br2Cl3. The X-ray diffraction stick pattern is calculated, not measured: it uses a crystal structure in Alexandria, relaxed with PBE and λ = 1.5418 Å (Cu Kα).

Top 12 peaks for 10° ≤ 2θ ≤ 90°, low angle first:
2θ/deg, d_spacing, I/Imax
12.74, 6.948, 1000
13.92, 6.362, 325
16.26, 5.451, 342
16.38, 5.412, 298
24.48, 3.637, 688
24.72, 3.601, 717
29.14, 3.064, 292
30.29, 2.950, 978
33.13, 2.704, 497
33.54, 2.672, 317
38.24, 2.354, 282
40.32, 2.237, 377

Crystal structure
Unit cell a=5.9143 b=7.5266 c=12.7543 alpha=87.91 beta=86.17 gamma=67.40
Fractional coordinates of all 16 atoms:
La1 0.0000 0.0000 0.0000
La2 0.0065 0.9163 0.2895
La3 0.0581 0.9435 0.7041
La4 0.3527 0.2789 0.7917
La5 0.3629 0.2569 0.2022
La6 0.3952 0.1884 0.4969
Br1 0.3580 0.5432 0.6073
Br2 0.5273 0.8636 0.3215
Br3 0.8227 0.3302 0.8244
Br4 0.8381 0.3157 0.1781
Cl1 0.1102 0.6728 0.8718
Cl2 0.1399 0.5141 0.3736
Cl3 0.2100 0.6559 0.1192
Cl4 0.4686 0.0600 0.9949
Cl5 0.5783 0.9091 0.6835
Cl6 0.9282 0.1232 0.4939

=====

No. 3
Diffraction record for SmCoAs3. The X-ray diffraction stick pattern is calculated, not measured: it uses a crystal structure in Alexandria, relaxed with PBE and λ = 1.5418 Å (Cu Kα).

Top 12 peaks for 10° ≤ 2θ ≤ 90°, low angle first:
2θ/deg, d_spacing, I/Imax
23.77, 3.743, 324
27.01, 3.301, 281
35.36, 2.538, 559
35.63, 2.520, 390
37.04, 2.427, 212
37.44, 2.402, 1000
39.20, 2.298, 245
39.43, 2.285, 210
46.13, 1.968, 535
61.05, 1.518, 268
70.85, 1.330, 206
78.22, 1.222, 166

Crystal structure
Unit cell a=12.1283 b=5.5896 c=5.5413 alpha=90.00 beta=90.00 gamma=90.00
Fractional coordinates of all 20 atoms:
Sm1 0.1941 0.0014 0.2500
Sm2 0.1941 0.4986 0.7500
Sm3 0.8059 0.5014 0.2500
Sm4 0.8059 0.9986 0.7500
Co1 0.4118 0.7500 0.0000
Co2 0.4118 0.7500 0.5000
Co3 0.5882 0.2500 0.0000
Co4 0.5882 0.2500 0.5000
As1 0.0014 0.7500 0.0000
As2 0.0014 0.7500 0.5000
As3 0.2928 0.0054 0.7500
As4 0.2928 0.4946 0.2500
As5 0.4418 0.1040 0.2500
As6 0.4418 0.3960 0.7500
As7 0.5582 0.6040 0.2500
As8 0.5582 0.8960 0.7500
As9 0.7072 0.5054 0.7500
As10 0.7072 0.9946 0.2500
As11 0.9986 0.2500 0.0000
As12 0.9986 0.2500 0.5000

=====

No. 4
Diffraction record for PW6Cl17. The X-ray diffraction stick pattern is calculated, not measured: it uses a crystal structure in Alexandria, relaxed with PBE and λ = 1.5418 Å (Cu Kα).

Top 12 peaks for 10° ≤ 2θ ≤ 90°, low angle first:
2θ/deg, d_spacing, I/Imax
10.30, 8.589, 682
13.92, 6.361, 1000
15.30, 5.793, 506
19.34, 4.590, 248
26.08, 3.417, 161
27.83, 3.206, 260
32.63, 2.745, 176
36.50, 2.462, 182
37.58, 2.394, 172
42.50, 2.127, 399
44.52, 2.035, 194
52.37, 1.747, 195

Crystal structure
Unit cell a=10.7232 b=10.7232 c=10.7232 alpha=142.76 beta=73.55 gamma=119.15
Fractional coordinates of all 24 atoms:
P1 0.0000 0.0000 0.0000
W1 0.0823 0.9481 0.1342
W2 0.1135 0.1892 0.9243
W3 0.2649 0.1892 0.0757
W4 0.8115 0.0137 0.2021
W5 0.8115 0.6094 0.7979
W6 0.8139 0.9481 0.8658
Cl1 0.1830 0.3502 0.8329
Cl2 0.2251 0.9556 0.2694
Cl3 0.2361 0.3648 0.4135
Cl4 0.2361 0.8226 0.8713
Cl5 0.3086 0.0684 0.7598
Cl6 0.3086 0.5488 0.2402
Cl7 0.5173 0.3502 0.1671
Cl8 0.6280 0.6280 0.0000
Cl9 0.6461 0.0244 0.1009
Cl10 0.6461 0.5452 0.6217
Cl11 0.6620 0.1620 0.5000
Cl12 0.6862 0.9556 0.7306
Cl13 0.9235 0.0244 0.3783
Cl14 0.9235 0.5452 0.8991
Cl15 0.9452 0.4452 0.5000
Cl16 0.9513 0.3648 0.1287
Cl17 0.9513 0.8226 0.5865